Ca11InSb9: simulated XRD peak list (λ = 1.5418 Å (Cu Kα)), based on a structure optimized by DFT (GGA-PBE).

Most intense lines, 10 to 80 degrees two-theta, by angle:
hkl	d [Å]	I (rel.)
1 2 3	3.962	52.6
2 1 3	3.893	50.3
3 1 0	3.795	39.2
2 3 3	2.934	51.4
3 3 0	2.891	100.0
4 1 1	2.863	28.1
3 1 4	2.821	84.0
0 0 6	2.811	34.3
0 4 4	2.527	24.8
4 1 5	2.201	25.4
5 2 3	2.076	26.6
3 3 6	2.016	40.4

Structure:
```
data_Ca11InSb9
_cell_length_a 11.942
_cell_length_b 12.626
_cell_length_c 16.864
_cell_angle_alpha 90.00
_cell_angle_beta 90.00
_cell_angle_gamma 90.00
_symmetry_space_group_name_H-M 'I b a 2'
_symmetry_Int_Tables_number 45
loop_
_symmetry_equiv_pos_as_xyz
'x,y,z'
'-x,-y,z'
'-x,y,z+1/2'
'x,-y,z+1/2'
'x+1/2,y+1/2,z+1/2'
'-x+1/2,-y+1/2,z+1/2'
'-x+1/2,y+1/2,z'
'x+1/2,-y+1/2,z'
loop_
_atom_site_label
_atom_site_fract_x
_atom_site_fract_y
_atom_site_fract_z
Ca1 0.000 0.000 0.015
Ca2 0.073 0.278 0.000
Ca3 0.087 0.274 0.683
Ca4 0.164 0.176 0.341
Ca5 0.183 0.446 0.471
Ca6 0.184 0.442 0.213
In1 0.000 0.000 0.232
Sb1 0.000 0.500 0.094
Sb2 0.036 0.391 0.839
Sb3 0.135 0.119 0.847
Sb4 0.153 0.145 0.150
Sb5 0.176 0.177 0.525
```